No. 1
This entry pairs a crystal structure of K2AgPt with its simulated powder XRD pattern. Radiation: Cu Ka. Structure: a DFT-relaxed cell (GGA-PBE, Alexandria).

```
K2AgPt
1.0
3.252 0.000 0.000
0.000 4.256 0.000
0.000 0.000 9.502
K Ag Pt
2 1 1
direct
0.000 0.000 0.000 K
0.500 0.500 0.433 K
0.500 0.500 0.751 Ag
0.000 0.000 0.679 Pt
```

Most intense lines, 5° ≤ 2θ ≤ 70°, by angle:
2θ (°), I (rel.)
9.31, 100
18.68, 11
28.16, 16
34.72, 18
35.32, 8
36.02, 17
39.72, 13
42.48, 5
43.60, 7
45.29, 9

=====

No. 2
This entry pairs a crystal structure of SrLi2TiO4 with its simulated powder XRD pattern. Radiation: Cu Ka. Structure: a DFT-relaxed cell (GGA-PBE, Alexandria).

```
SrLi2TiO4
1.0
5.365 0.000 0.000
0.000 5.365 0.000
0.000 0.000 6.925
Sr Li Ti O
2 4 2 8
direct
0.000 0.000 0.000 Sr
0.500 0.500 0.500 Sr
0.000 0.500 0.250 Li
0.000 0.500 0.750 Li
0.500 0.000 0.250 Li
0.500 0.000 0.750 Li
0.000 0.000 0.500 Ti
0.500 0.500 0.000 Ti
0.198 0.198 0.653 O
0.198 0.802 0.347 O
0.302 0.302 0.153 O
0.302 0.698 0.847 O
0.698 0.302 0.847 O
0.698 0.698 0.153 O
0.802 0.198 0.347 O
0.802 0.802 0.653 O
```

Most intense lines, 5° ≤ 2θ ≤ 70°, by angle:
2θ (°), I (rel.)
23.45, 100
25.73, 23
33.40, 19
35.09, 93
39.76, 19
42.64, 54
47.96, 27
55.21, 15
60.80, 35
64.01, 21

=====

No. 3
This entry pairs a crystal structure of AcThP2 with its simulated powder XRD pattern. Radiation: Cu Ka. Structure: a DFT-relaxed cell (GGA-PBE, Alexandria).

```
AcThP2
1.0
4.234 0.000 0.000
-2.117 3.667 0.000
0.000 0.000 14.255
Ac Th P
2 2 4
direct
0.333 0.667 0.250 Ac
0.667 0.333 0.750 Ac
0.000 0.000 0.000 Th
0.000 0.000 0.500 Th
0.333 0.667 0.614 P
0.333 0.667 0.886 P
0.667 0.333 0.114 P
0.667 0.333 0.386 P
```

Most intense lines, 5° ≤ 2θ ≤ 70°, by angle:
2θ (°), I (rel.)
25.03, 55
27.35, 100
30.80, 38
40.06, 15
42.71, 36
45.49, 29
50.13, 32
51.47, 18
68.88, 19
69.04, 16

=====

No. 4
This entry pairs a crystal structure of RbH2F3 with its simulated powder XRD pattern. Radiation: Cu Ka. Structure: a DFT-relaxed cell (GGA-PBE, Alexandria).

```
RbH2F3
1.0
4.979 0.000 0.000
0.000 7.712 0.000
0.000 0.000 4.312
Rb H F
2 4 6
direct
0.250 0.250 0.108 Rb
0.750 0.750 0.892 Rb
0.250 0.618 0.502 H
0.250 0.882 0.502 H
0.750 0.118 0.498 H
0.750 0.382 0.498 H
0.250 0.520 0.669 F
0.250 0.750 0.316 F
0.250 0.980 0.669 F
0.750 0.020 0.331 F
0.750 0.250 0.684 F
0.750 0.480 0.331 F
```

Most intense lines, 5° ≤ 2θ ≤ 70°, by angle:
2θ (°), I (rel.)
21.24, 39
23.06, 21
23.64, 15
29.76, 65
31.11, 28
36.08, 100
39.45, 16
43.59, 21
45.87, 16
48.37, 16

=====

No. 5
This entry pairs a crystal structure of PmPuPdO6 with its simulated powder XRD pattern. Radiation: Cu Ka. Structure: a DFT-relaxed cell (GGA-PBE, Alexandria).

```
PmPuPdO6
1.0
5.374 0.000 0.000
-2.687 4.654 0.000
0.000 0.000 10.383
Pm Pu Pd O
2 2 2 12
direct
0.000 0.000 0.000 Pm
0.000 0.000 0.500 Pm
0.333 0.667 0.250 Pu
0.667 0.333 0.750 Pu
0.333 0.667 0.750 Pd
0.667 0.333 0.250 Pd
0.004 0.354 0.639 O
0.004 0.650 0.861 O
0.350 0.354 0.861 O
0.350 0.996 0.639 O
0.354 0.004 0.139 O
0.354 0.350 0.361 O
0.646 0.650 0.639 O
0.646 0.996 0.861 O
0.650 0.004 0.361 O
0.650 0.646 0.139 O
0.996 0.350 0.139 O
0.996 0.646 0.361 O
```

Most intense lines, 5° ≤ 2θ ≤ 70°, by angle:
2θ (°), I (rel.)
17.08, 19
20.92, 17
25.71, 100
33.34, 48
34.55, 12
37.69, 15
42.57, 26
48.78, 49
55.12, 25
59.60, 17

=====

No. 6
This entry pairs a crystal structure of P2IBr8 with its simulated powder XRD pattern. Radiation: Cu Ka. Structure: a DFT-relaxed cell (GGA-PBE, Alexandria).

```
P2IBr8
1.0
6.769 -4.203 0.000
6.769 4.203 0.000
-0.219 0.000 9.003
P I Br
2 1 8
direct
0.198 0.198 0.140 P
0.802 0.802 0.860 P
0.000 0.000 0.500 I
0.132 0.688 0.681 Br
0.258 0.258 0.906 Br
0.312 0.868 0.319 Br
0.337 0.337 0.273 Br
0.663 0.663 0.727 Br
0.688 0.132 0.681 Br
0.742 0.742 0.094 Br
0.868 0.312 0.319 Br
```

Most intense lines, 5° ≤ 2θ ≤ 70°, by angle:
2θ (°), I (rel.)
15.94, 53
16.58, 100
22.37, 24
23.50, 36
24.68, 24
24.94, 25
26.74, 84
31.79, 44
32.21, 24
33.52, 36

=====

No. 7
This entry pairs a crystal structure of Zr2Co5Ge3 with its simulated powder XRD pattern. Radiation: Cu Ka. Structure: a DFT-relaxed cell (GGA-PBE, Alexandria).

```
Zr2Co5Ge3
1.0
1.951 -11.462 0.000
1.951 11.462 0.000
0.000 0.000 6.276
Zr Co Ge
4 10 6
direct
0.016 0.984 0.500 Zr
0.325 0.675 0.516 Zr
0.675 0.325 0.016 Zr
0.984 0.016 0.000 Zr
0.103 0.897 0.856 Co
0.203 0.797 0.724 Co
0.212 0.788 0.328 Co
0.373 0.627 0.015 Co
0.444 0.556 0.662 Co
0.556 0.444 0.162 Co
0.627 0.373 0.515 Co
0.788 0.212 0.828 Co
0.797 0.203 0.224 Co
0.897 0.103 0.356 Co
0.112 0.888 0.254 Ge
0.269 0.731 0.023 Ge
0.450 0.550 0.283 Ge
0.550 0.450 0.783 Ge
0.731 0.269 0.523 Ge
0.888 0.112 0.754 Ge
```

Most intense lines, 5° ≤ 2θ ≤ 70°, by angle:
2θ (°), I (rel.)
37.07, 7
38.66, 100
41.96, 15
42.38, 20
46.19, 9
46.55, 27
49.59, 7
50.95, 6
51.83, 7
64.45, 8

=====

No. 8
This entry pairs a crystal structure of LaCdGa with its simulated powder XRD pattern. Radiation: Cu Ka. Structure: a DFT-relaxed cell (GGA-PBE, Alexandria).

```
LaCdGa
1.0
5.772 0.000 0.000
2.879 5.127 0.000
2.870 -1.556 4.892
La Cd Ga
2 2 2
direct
0.249 0.389 0.111 La
0.751 0.611 0.889 La
0.000 0.000 0.500 Cd
0.500 0.000 0.500 Cd
0.000 0.000 0.000 Ga
0.500 0.500 0.500 Ga
```

Most intense lines, 5° ≤ 2θ ≤ 70°, by angle:
2θ (°), I (rel.)
29.49, 32
30.39, 67
35.12, 33
35.23, 32
35.74, 40
36.08, 100
36.19, 56
36.76, 50
38.00, 27
63.27, 33

=====

No. 9
This entry pairs a crystal structure of PaPH2Ru2 with its simulated powder XRD pattern. Radiation: Cu Ka. Structure: a DFT-relaxed cell (GGA-PBE, Alexandria).

```
PaPH2Ru2
1.0
5.159 0.000 0.000
0.000 5.653 0.000
-0.260 0.000 5.298
Pa P H Ru
2 2 4 4
direct
0.222 0.250 0.155 Pa
0.778 0.750 0.845 Pa
0.094 0.750 0.306 P
0.906 0.250 0.694 P
0.311 0.750 0.846 H
0.448 0.250 0.767 H
0.552 0.750 0.233 H
0.689 0.250 0.154 H
0.265 0.000 0.634 Ru
0.265 0.500 0.634 Ru
0.735 0.000 0.366 Ru
0.735 0.500 0.366 Ru
```

Most intense lines, 5° ≤ 2θ ≤ 70°, by angle:
2θ (°), I (rel.)
23.01, 60
23.36, 100
34.83, 72
36.01, 53
37.45, 89
38.99, 61
39.79, 77
40.55, 72
41.42, 33
51.61, 43

=====

No. 10
This entry pairs a crystal structure of LiTb3Si6Pd2 with its simulated powder XRD pattern. Radiation: Cu Ka. Structure: a DFT-relaxed cell (GGA-PBE, Alexandria).

```
LiTb3Si6Pd2
1.0
5.727 0.000 0.000
-2.864 4.960 0.000
0.000 0.000 8.010
Li Tb Si Pd
1 3 6 2
direct
0.000 0.000 0.000 Li
0.000 0.000 0.500 Tb
0.333 0.667 0.111 Tb
0.667 0.333 0.889 Tb
0.191 0.382 0.779 Si
0.191 0.809 0.779 Si
0.382 0.191 0.221 Si
0.618 0.809 0.779 Si
0.809 0.191 0.221 Si
0.809 0.618 0.221 Si
0.333 0.667 0.524 Pd
0.667 0.333 0.476 Pd
```

Most intense lines, 5° ≤ 2θ ≤ 70°, by angle:
2θ (°), I (rel.)
21.07, 41
28.65, 53
31.24, 100
33.56, 23
37.98, 31
38.65, 59
42.89, 29
46.50, 36
54.01, 21
66.93, 22

=====

Question: Which formula does entry 3 have?
Answer: AcThP2